[1]
For Dy2ScAl3Zn6, a PBE-relaxed structure gives the simulated X-ray diffraction stick pattern in this record (Cu Kα).
Kinematic intensities with the Lorentz-polarization factor, no thermal factor.

Peak list (8 most intense, 10 to 90 degrees two-theta, sorted by position)
- 2θ 10.02, intensity 100
- 2θ 30.49, intensity 38
- 2θ 32.67, intensity 43
- 2θ 34.17, intensity 34
- 2θ 35.78, intensity 72
- 2θ 38.32, intensity 46
- 2θ 42.62, intensity 57
- 2θ 46.28, intensity 51

Crystal structure
```
Dy2ScAl3Zn6
1.0
3.924 0.000 0.000
0.000 3.924 0.000
0.000 0.000 17.650
Dy Sc Al Zn
2 1 3 6
Cartesian
0.000 0.000 3.744
0.000 0.000 13.906
0.000 0.000 8.825
1.962 1.962 0.000
1.962 1.962 4.941
1.962 1.962 12.708
0.000 1.962 6.676
0.000 1.962 10.974
1.962 0.000 6.676
1.962 0.000 10.974
1.962 1.962 2.409
1.962 1.962 15.240
```

***

[2]
For Dy4AlSe2, a PBE-relaxed structure gives the simulated X-ray diffraction stick pattern in this record (Cu Kα).
Kinematic intensities with the Lorentz-polarization factor, no thermal factor.

Peak list (8 most intense, 10 to 90 degrees two-theta, sorted by position)
- 2θ 26.63, intensity 43
- 2θ 29.09, intensity 100
- 2θ 30.04, intensity 40
- 2θ 30.75, intensity 85
- 2θ 32.78, intensity 47
- 2θ 40.23, intensity 44
- 2θ 45.29, intensity 50
- 2θ 54.82, intensity 34

Crystal structure
```
Dy4AlSe2
1.0
1.998 -6.681 0.000
1.998 6.681 0.000
0.000 0.000 13.825
Dy Al Se
8 2 4
Cartesian
0.000 0.000 0.000
0.000 0.000 6.913
1.998 2.997 8.648
1.998 2.997 12.090
1.998 0.855 3.456
1.998 -0.855 10.369
1.998 -2.997 1.736
1.998 -2.997 5.177
1.998 5.300 3.456
1.998 -5.300 10.369
1.998 1.851 0.825
1.998 1.851 6.087
1.998 -1.851 7.738
1.998 -1.851 13.000
```

***

Repeat the first record exactly.
For Dy2ScAl3Zn6, a PBE-relaxed structure gives the simulated X-ray diffraction stick pattern in this record (Cu Kα).
Kinematic intensities with the Lorentz-polarization factor, no thermal factor.

Peak list (8 most intense, 10 to 90 degrees two-theta, sorted by position)
- 2θ 10.02, intensity 100
- 2θ 30.49, intensity 38
- 2θ 32.67, intensity 43
- 2θ 34.17, intensity 34
- 2θ 35.78, intensity 72
- 2θ 38.32, intensity 46
- 2θ 42.62, intensity 57
- 2θ 46.28, intensity 51

Crystal structure
```
Dy2ScAl3Zn6
1.0
3.924 0.000 0.000
0.000 3.924 0.000
0.000 0.000 17.650
Dy Sc Al Zn
2 1 3 6
Cartesian
0.000 0.000 3.744
0.000 0.000 13.906
0.000 0.000 8.825
1.962 1.962 0.000
1.962 1.962 4.941
1.962 1.962 12.708
0.000 1.962 6.676
0.000 1.962 10.974
1.962 0.000 6.676
1.962 0.000 10.974
1.962 1.962 2.409
1.962 1.962 15.240
```